This entry pairs a crystal structure of CaTaAlO5 with its calculated X-ray powder pattern. Radiation: Cu Kα, 1.54184 Å. Structure: a cell relaxed with GGA-PBE.
Intensities are scaled so that the largest is 100.

Structural model:
```
data_CaTaAlO5
_cell_length_a 6.7876
_cell_length_b 9.0140
_cell_length_c 7.4599
_cell_angle_alpha 90.00
_cell_angle_beta 114.60
_cell_angle_gamma 90.00
_space_group_name_H-M_alt 'C 1 c 1'
_space_group_IT_number 9
_space_group_name_Hall 'C -2yc'
loop_
_atom_site_label
_atom_site_type_symbol
_atom_site_fract_x
_atom_site_fract_y
_atom_site_fract_z
Ca1 Ca 0.0000 0.1668 0.0000
Ta1 Ta 0.0016 0.4976 0.7303
Al1 Al 0.0006 0.1848 0.4804
O1 O 0.0035 0.4258 0.9809
O2 O 0.1053 0.2964 0.3435
O3 O 0.1946 0.0604 0.6419
O4 O 0.3111 0.4411 0.8173
O5 O 0.3942 0.2023 0.1142
```

Main lines, in order of rising 2θ (10° ≤ 2θ ≤ 90°):
17.4 deg, I = 100, (1 1 0); 19.7 deg, I = 32, (0 2 0); 26.1 deg, I = 78, (1 1 -2); 28.9 deg, I = 37, (2 0 0); 33.1 deg, I = 40, (0 2 2); 33.2 deg, I = 42, (1 3 0)